For NaScSe2O6, the PBE geometry in the Materials Project gives the theoretical PXRD pattern in this record (Cu Kα).
Lines closer than 0.1° are merged.

Peak list (10 most intense, 10 to 90 degrees two-theta, sorted by position)
2θ (°)  I (rel.)
12.7  218
20.4  471
21.0  242
25.5  799
28.2  798
30.2  1000
31.8  602
32.1  413
37.0  311
62.2  208

Cell and atoms:
```
40
Lattice="13.0305 0.0000 0.0000 0.0000 5.5720 0.0000 0.0000 0.0000 8.2911" Properties=species:S:1:pos:R:3 pbc="T T T"
Na 1.4639 1.3930 0.0968
Na 5.0513 4.1790 4.2424
Na 7.9792 1.3930 4.0488
Na 11.5665 4.1790 8.1943
Sc 1.3028 4.1790 5.8039
Sc 5.2124 1.3930 1.6583
Sc 7.8180 4.1790 6.6328
Sc 11.7277 1.3930 2.4872
Se 0.9075 4.1790 2.3375
Se 2.7048 1.3930 4.1092
Se 3.8105 4.1790 8.2547
Se 5.6077 1.3930 6.4831
Se 7.4227 4.1790 1.8080
Se 9.2200 1.3930 0.0364
Se 10.3257 4.1790 4.1819
Se 12.1230 1.3930 5.9536
O 0.0357 2.8487 1.6542
O 0.0357 5.5093 1.6542
O 0.3491 4.1790 3.9596
O 2.1567 4.1790 7.7633
O 2.7413 0.0416 5.1813
O 2.7413 2.7444 5.1813
O 3.7739 2.8276 1.0358
O 3.7739 5.5304 1.0358
O 4.3585 1.3930 3.6177
O 6.1661 1.3930 8.1051
O 6.4796 0.0627 5.7997
O 6.4796 2.7233 5.7997
O 6.5509 2.8487 2.4914
O 6.5509 5.5093 2.4914
O 6.8643 4.1790 0.1860
O 8.6720 4.1790 4.6734
O 9.2565 0.0416 7.2553
O 9.2565 2.7444 7.2553
O 10.2892 2.8276 3.1098
O 10.2892 5.5304 3.1098
O 10.8737 1.3930 0.5278
O 12.6814 1.3930 4.3315
O 12.9948 0.0627 6.6369
O 12.9948 2.7233 6.6369
```

=====

For Na3ScSi2O7, the PBE geometry in the Materials Project gives the theoretical PXRD pattern in this record (Cu Kα).
Lines closer than 0.1° are merged.

Peak list (10 most intense, 10 to 90 degrees two-theta, sorted by position)
2θ (°)  I (rel.)
13.4  503
19.9  275
20.1  505
32.9  748
33.1  1000
33.2  499
43.7  284
47.3  246
47.5  352
59.2  183

Cell and atoms:
```
52
Lattice="9.4582 0.0000 0.0000 0.0000 13.2327 0.0000 0.0000 0.0000 5.4008" Properties=species:S:1:pos:R:3 pbc="T T T"
Na 0.1822 3.3082 0.0933
Na 1.4534 7.8451 2.7888
Na 1.4534 12.0040 2.7888
Na 3.2758 1.2288 0.0883
Na 3.2758 5.3876 0.0883
Na 4.5469 9.9245 2.7937
Na 4.9113 3.3082 2.6071
Na 6.1825 7.8451 5.3125
Na 6.1825 12.0040 5.3125
Na 8.0049 1.2288 2.6121
Na 8.0049 5.3876 2.6121
Na 9.2760 9.9245 5.3075
Sc 0.0000 0.0000 0.0000
Sc 0.0000 6.6164 0.0000
Sc 4.7291 0.0000 2.7004
Sc 4.7291 6.6164 2.7004
Si 1.6603 1.7417 2.7722
Si 1.6603 4.8746 2.7722
Si 3.0688 8.3581 0.0718
Si 3.0688 11.4910 0.0718
Si 6.3894 1.7417 5.3290
Si 6.3894 4.8746 5.3290
Si 7.7980 8.3581 2.6286
Si 7.7980 11.4910 2.6286
O 0.8446 0.7943 1.7223
O 0.8446 5.8221 1.7223
O 1.1827 3.3082 2.3844
O 1.2132 1.4189 4.3144
O 1.2132 5.1975 4.3144
O 1.4565 8.1948 5.2625
O 1.4565 11.6543 5.2625
O 3.2726 1.5785 2.5621
O 3.2726 5.0379 2.5621
O 3.5160 8.0352 1.6140
O 3.5160 11.8139 1.6140
O 3.5464 9.9245 5.0848
O 3.8845 7.4106 4.4228
O 3.8845 12.4384 4.4228
O 5.5737 0.7943 0.9781
O 5.5737 5.8221 0.9781
O 5.9118 3.3082 0.3160
O 5.9423 1.4189 3.7869
O 5.9423 5.1975 3.7869
O 6.1856 8.1948 2.8388
O 6.1856 11.6543 2.8388
O 8.0017 1.5785 0.1383
O 8.0017 5.0379 0.1383
O 8.2451 8.0352 1.0865
O 8.2451 11.8139 1.0865
O 8.2756 9.9245 3.0164
O 8.6136 7.4106 3.6785
O 8.6136 12.4384 3.6785
```

=====

For Na4ScTaSi3O12, the PBE geometry in the Materials Project gives the theoretical PXRD pattern in this record (Cu Kα).
Lines closer than 0.1° are merged.

Peak list (10 most intense, 10 to 90 degrees two-theta, sorted by position)
2θ (°)  I (rel.)
13.7  851
19.3  710
19.5  881
27.6  409
30.8  272
31.0  1000
33.8  753
46.5  360
52.8  284
58.7  296

Cell and atoms:
```
42
Lattice="4.5915 2.6509 7.4254 -4.5915 2.6509 7.4254 0.0000 -5.3018 7.4254" Properties=species:S:1:pos:R:3 pbc="T T T"
Na 0.0000 0.0000 0.0000
Na -1.2123 -2.5130 9.3600
Na -3.0213 -0.3445 13.0727
Na -1.5702 2.3064 9.3600
Na 0.0000 0.0000 11.1380
Na 1.8090 -2.4443 13.0726
Na 2.7825 0.2066 9.3600
Na 1.2123 2.7888 13.0726
Sc 0.0000 0.0000 7.9764
Sc 0.0000 0.0000 19.1145
Ta 0.0000 0.0000 3.4077
Ta 0.0000 0.0000 14.5458
Si -3.2682 -0.3040 9.4715
Si -1.3233 -2.9549 13.1841
Si 1.8974 -2.6783 9.4715
Si -1.8974 2.6235 13.1841
Si 1.3708 2.9824 9.4715
Si 3.2207 0.3314 13.1842
O -1.0453 -1.3119 4.4464
O -3.5100 -1.1965 10.7822
O -4.0580 1.1588 9.5353
O -2.9223 -2.7258 13.0597
O -0.7189 -1.6638 7.0696
O -0.6135 1.5612 4.4464
O -1.6692 -0.0749 9.3470
O 1.0255 -4.0937 9.5353
O -1.0815 1.4544 7.0696
O 1.6587 -0.2493 4.4464
O 0.8995 -1.4081 9.3470
O -0.5335 -1.4921 13.2480
O -1.6587 -0.2493 15.5844
O 1.8003 0.2093 7.0696
O -1.0255 1.2081 13.2480
O 0.7697 1.4830 9.3470
O 2.7912 -2.4416 10.7822
O 1.0453 -1.3119 15.5844
O -0.8995 3.8937 13.0597
O 1.5590 0.2840 13.2480
O 0.7189 3.6380 10.7822
O 0.6135 1.5612 15.5844
O 3.8218 -1.1679 13.0597
O 3.0325 2.9350 9.5353
```